Simulated X-ray diffraction stick pattern
Compound: MgC4N6
Radiation: λ = 1.5418 Å (Cu Kα)
Structure: the PBE geometry in Alexandria
Lines closer than 0.1° are merged.

Principal peaks in the range 2θ = 10–90°, sorted by position:
Position (°2θ)  I (rel.)
17.5  38
17.9  100
21.5  94
28.3  57
28.7  33
36.3  38

```
22
Lattice="6.9323 0.0000 0.0000 0.0000 7.0857 0.0000 0.0000 0.0000 7.4634" Properties=species:S:1:pos:R:3 pbc="T T T"
Mg 0.0000 0.0000 0.0000
Mg 3.4661 3.5428 3.7317
C 1.4355 1.3752 2.6019
C 1.4355 1.3752 4.8615
C 2.0306 4.9180 1.1298
C 2.0306 4.9180 6.3335
C 4.9016 2.1677 1.1298
C 4.9016 2.1677 6.3335
C 5.4968 5.7105 2.6019
C 5.4968 5.7105 4.8615
N 1.0672 0.9967 1.5543
N 1.0672 0.9967 5.9090
N 1.5688 5.3934 0.0000
N 1.8973 1.8506 3.7317
N 2.3990 4.5395 2.1773
N 2.3990 4.5395 5.2860
N 4.5333 2.5462 2.1773
N 4.5333 2.5462 5.2860
N 5.0350 5.2351 3.7317
N 5.3634 1.6923 0.0000
N 5.8651 6.0890 1.5543
N 5.8651 6.0890 5.9090
```